No. 1
Diffraction record for Be17CrRu. The powder diffractogram is calculated, not measured: it uses a cell relaxed with GGA-PBE and a wavelength of 1.5418 Å.
Intensities are scaled so that the largest is 100.

Largest 10 diffraction maxima, sorted by position, 10 to 90 degrees two-theta:
Position (°2θ), I (rel.)
16.50, 94
22.06, 44
24.71, 98
25.32, 32
35.67, 100
43.50, 40
50.67, 32
51.00, 60
52.00, 30
74.74, 28

Cell and atoms:
a = 5.449 Å, b = 5.449 Å, c = 5.449 Å
α = 82.81°, β = 82.81°, γ = 82.81°
Fractional coordinates of all 19 atoms:
1 Be 0.052 0.052 0.052
2 Be 0.154 0.459 0.851
3 Be 0.154 0.851 0.459
4 Be 0.158 0.158 0.651
5 Be 0.158 0.651 0.158
6 Be 0.256 0.256 0.256
7 Be 0.309 0.805 0.805
8 Be 0.459 0.154 0.851
9 Be 0.459 0.851 0.154
10 Be 0.505 0.505 0.989
11 Be 0.505 0.989 0.505
12 Be 0.651 0.158 0.158
13 Be 0.805 0.309 0.805
14 Be 0.805 0.805 0.309
15 Be 0.851 0.154 0.459
16 Be 0.851 0.459 0.154
17 Be 0.989 0.505 0.505
18 Cr 0.494 0.494 0.494
19 Ru 0.817 0.817 0.817

=====

No. 2
Diffraction record for BeCr2Ru. The powder diffractogram is calculated, not measured: it uses a cell relaxed with GGA-PBE and a wavelength of 1.5418 Å.
Intensities are scaled so that the largest is 100.

Largest 10 diffraction maxima, sorted by position, 10 to 90 degrees two-theta:
Position (°2θ), I (rel.)
26.10, 41
32.75, 23
40.39, 13
43.34, 26
45.18, 100
48.68, 18
64.40, 11
67.20, 13
80.82, 22
88.55, 12

Cell and atoms:
a = 4.799 Å, b = 4.799 Å, c = 4.799 Å
α = 144.90°, β = 134.12°, γ = 59.05°
Fractional coordinates of all 4 atoms:
1 Be 0.000 0.000 0.000
2 Cr 0.249 0.749 0.500
3 Cr 0.751 0.251 0.500
4 Ru 0.500 0.500 0.000

=====

No. 3
Diffraction record for BeCr2Ru. The powder diffractogram is calculated, not measured: it uses a cell relaxed with GGA-PBE and a wavelength of 1.5418 Å.
Intensities are scaled so that the largest is 100.

Largest 10 diffraction maxima, sorted by position, 10 to 90 degrees two-theta:
Position (°2θ), I (rel.)
16.19, 22
30.79, 32
32.71, 15
34.98, 34
44.10, 58
45.54, 100
55.98, 12
64.14, 18
82.15, 32
85.19, 13

Cell and atoms:
a = 2.904 Å, b = 2.904 Å, c = 5.476 Å
α = 90.00°, β = 90.00°, γ = 90.00°
Fractional coordinates of all 4 atoms:
1 Be 0.000 0.000 0.000
2 Cr 0.000 0.000 0.483
3 Cr 0.500 0.500 0.244
4 Ru 0.500 0.500 0.772